Theoretical powder diffraction line list
Compound: Tl2VPd9
Radiation: Cu Kα X-rays
Structure: a crystal structure in Alexandria, relaxed with GGA-PBE
Neutral-atom scattering factors, no anomalous dispersion.

Structural model:
a = 4.004 Å, b = 4.004 Å, c = 12.137 Å
α = 90.00°, β = 90.00°, γ = 90.00°
Space group P4/mmm (No. 123)
One atom of each set of equivalent atoms:
Tl 0.000 0.000 0.170 [2 per cell]
V 0.000 0.000 0.500 [1 per cell]
Pd 0.000 0.500 0.000 [2 per cell]
Pd 0.000 0.500 0.350 [4 per cell]
Pd 0.500 0.500 0.175 [2 per cell]
Pd 0.500 0.500 0.500 [1 per cell]

Most intense lines, 10 to 90 degrees two-theta, by angle:
(hkl)  2θ (°)  d_spacing  I_rel
1 1 3  38.8  2.320  100.0
0 0 6  44.8  2.023  14.9
2 0 0  45.3  2.002  33.3
2 0 6  65.6  1.423  18.9
2 2 0  66.0  1.416  10.7
1 1 9  78.6  1.218  9.4
3 1 3  79.3  1.208  24.4
2 2 6  83.3  1.160  9.7